(1)
Theoretical X-ray powder pattern of BaCaHf4O12 for copper Kα, from a structure optimized by DFT (GGA-PBE).
No peak broadening, texture or thermal motion is included.

Atomic structure:
Cell lengths 8.207, 5.840, 5.840 Å; angles 90.04, 90.00, 90.00 degrees
Atoms (fractional coordinates):
Ba 0.000 0.000 0.000
Ca 0.500 0.460 0.460
Hf 0.255 0.491 0.975
Hf 0.255 0.975 0.491
Hf 0.745 0.491 0.975
Hf 0.745 0.975 0.491
O 0.000 0.502 0.971
O 0.000 0.971 0.502
O 0.241 0.250 0.250
O 0.251 0.211 0.756
O 0.251 0.756 0.211
O 0.300 0.696 0.696
O 0.500 0.052 0.466
O 0.500 0.466 0.052
O 0.700 0.696 0.696
O 0.749 0.211 0.756
O 0.749 0.756 0.211
O 0.759 0.250 0.250

The 10 most intense peaks (10° ≤ 2θ ≤ 90°), in order of rising 2θ:
- 2θ = 18.65°, intensity 17
- 2θ = 21.52°, intensity 65
- 2θ = 21.66°, intensity 32
- 2θ = 30.67°, intensity 100
- 2θ = 30.72°, intensity 48
- 2θ = 43.85°, intensity 30
- 2θ = 49.38°, intensity 29
- 2θ = 54.49°, intensity 41
- 2θ = 54.68°, intensity 21
- 2θ = 63.97°, intensity 18

***

(2)
Theoretical X-ray powder pattern of Tl2Au for copper Kα, from a structure optimized by DFT (GGA-PBE).
No peak broadening, texture or thermal motion is included.

Atomic structure:
Cell lengths 6.175, 6.175, 6.175 Å; angles 101.43, 101.43, 127.12 degrees
Atoms (fractional coordinates):
Tl 0.152 0.652 0.804
Tl 0.348 0.152 0.500
Tl 0.652 0.848 0.500
Tl 0.848 0.348 0.196
Au 0.000 0.000 0.000
Au 0.500 0.500 0.000

The 10 most intense peaks (10° ≤ 2θ ≤ 90°), in order of rising 2θ:
- 2θ = 30.29°, intensity 100
- 2θ = 32.38°, intensity 13
- 2θ = 32.57°, intensity 39
- 2θ = 36.33°, intensity 58
- 2θ = 49.58°, intensity 49
- 2θ = 50.94°, intensity 11
- 2θ = 56.71°, intensity 18
- 2θ = 63.01°, intensity 12
- 2θ = 66.62°, intensity 16
- 2θ = 79.83°, intensity 12

***

(3)
Theoretical X-ray powder pattern of LiCuO2 for copper Kα, from a structure optimized by DFT (GGA-PBE).
No peak broadening, texture or thermal motion is included.

Atomic structure:
Cell lengths 3.234, 3.234, 5.569 Å; angles 115.99, 115.99, 50.03 degrees
Atoms (fractional coordinates):
Li 0.000 0.000 0.000
Cu 0.000 0.000 0.500
O 0.416 0.416 0.247
O 0.584 0.584 0.753

The 10 most intense peaks (10° ≤ 2θ ≤ 90°), in order of rising 2θ:
- 2θ = 18.20°, intensity 100
- 2θ = 30.54°, intensity 63
- 2θ = 34.98°, intensity 41
- 2θ = 36.57°, intensity 14
- 2θ = 37.25°, intensity 18
- 2θ = 37.64°, intensity 19
- 2θ = 45.58°, intensity 29
- 2θ = 46.55°, intensity 44
- 2θ = 59.74°, intensity 18
- 2θ = 64.22°, intensity 11

***

(4)
Theoretical X-ray powder pattern of LiZnO2 for copper Kα, from a structure optimized by DFT (GGA-PBE).
No peak broadening, texture or thermal motion is included.

Atomic structure:
Cell lengths 5.211, 5.211, 5.211 Å; angles 132.57, 132.57, 69.32 degrees
Atoms (fractional coordinates):
Li 0.375 0.625 0.750
Li 0.625 0.375 0.250
Zn 0.125 0.875 0.250
Zn 0.875 0.125 0.750
O 0.108 0.358 0.750
O 0.358 0.108 0.250
O 0.642 0.892 0.750
O 0.892 0.642 0.250

The 10 most intense peaks (10° ≤ 2θ ≤ 90°), in order of rising 2θ:
- 2θ = 23.63°, intensity 100
- 2θ = 36.87°, intensity 25
- 2θ = 38.12°, intensity 18
- 2θ = 42.17°, intensity 24
- 2θ = 43.17°, intensity 47
- 2θ = 49.80°, intensity 25
- 2θ = 61.93°, intensity 27
- 2θ = 62.70°, intensity 13
- 2θ = 75.06°, intensity 17
- 2θ = 78.47°, intensity 12

***

(5)
Theoretical X-ray powder pattern of Mg2RuN3 for copper Kα, from a structure optimized by DFT (GGA-PBE).
No peak broadening, texture or thermal motion is included.

Atomic structure:
Cell lengths 5.567, 5.567, 14.917 Å; angles 91.91, 91.91, 138.45 degrees
Atoms (fractional coordinates):
Mg 0.054 0.601 0.653
Mg 0.149 0.369 0.023
Mg 0.369 0.149 0.523
Mg 0.399 0.946 0.847
Mg 0.601 0.054 0.153
Mg 0.631 0.851 0.477
Mg 0.851 0.631 0.977
Mg 0.946 0.399 0.347
Ru 0.150 0.259 0.833
Ru 0.259 0.150 0.333
Ru 0.741 0.850 0.667
Ru 0.850 0.741 0.167
N 0.039 0.606 0.104
N 0.076 0.924 0.750
N 0.176 0.294 0.432
N 0.294 0.176 0.932
N 0.383 0.617 0.750
N 0.394 0.961 0.396
N 0.606 0.039 0.604
N 0.617 0.383 0.250
N 0.706 0.824 0.068
N 0.824 0.706 0.568
N 0.924 0.076 0.250
N 0.961 0.394 0.896

The 10 most intense peaks (10° ≤ 2θ ≤ 90°), in order of rising 2θ:
- 2θ = 11.92°, intensity 37
- 2θ = 17.04°, intensity 48
- 2θ = 18.06°, intensity 49
- 2θ = 26.07°, intensity 100
- 2θ = 28.01°, intensity 42
- 2θ = 35.01°, intensity 27
- 2θ = 35.85°, intensity 43
- 2θ = 40.15°, intensity 24
- 2θ = 46.39°, intensity 26
- 2θ = 47.90°, intensity 23

***

(6)
Theoretical X-ray powder pattern of CrNi for copper Kα, from a structure optimized by DFT (GGA-PBE).
No peak broadening, texture or thermal motion is included.

Atomic structure:
Cell lengths 2.894, 2.894, 2.894 Å; angles 90.00, 90.00, 90.00 degrees
Atoms (fractional coordinates):
Cr 0.000 0.000 0.000
Ni 0.500 0.500 0.500

The 5 most intense peaks (10° ≤ 2θ ≤ 90°), in order of rising 2θ:
- 2θ = 30.90°, intensity 1
- 2θ = 44.27°, intensity 100
- 2θ = 64.40°, intensity 15
- 2θ = 73.13°, intensity 1
- 2θ = 81.48°, intensity 28

***

(7)
Theoretical X-ray powder pattern of Sm5Co2 for copper Kα, from a structure optimized by DFT (GGA-PBE).
No peak broadening, texture or thermal motion is included.

Atomic structure:
Cell lengths 8.833, 8.833, 7.015 Å; angles 96.04, 96.04, 42.70 degrees
Atoms (fractional coordinates):
Sm 0.069 0.931 0.750
Sm 0.145 0.283 0.317
Sm 0.283 0.145 0.817
Sm 0.300 0.510 0.087
Sm 0.490 0.700 0.413
Sm 0.510 0.300 0.587
Sm 0.700 0.490 0.913
Sm 0.716 0.855 0.183
Sm 0.855 0.716 0.683
Sm 0.931 0.069 0.250
Co 0.098 0.680 0.427
Co 0.320 0.902 0.073
Co 0.680 0.098 0.927
Co 0.902 0.320 0.573

The 10 most intense peaks (10° ≤ 2θ ≤ 90°), in order of rising 2θ:
- 2θ = 29.11°, intensity 21
- 2θ = 30.65°, intensity 100
- 2θ = 31.81°, intensity 15
- 2θ = 32.06°, intensity 50
- 2θ = 33.06°, intensity 19
- 2θ = 34.53°, intensity 17
- 2θ = 34.99°, intensity 20
- 2θ = 41.09°, intensity 14
- 2θ = 54.22°, intensity 15
- 2θ = 56.26°, intensity 15

***

(8)
Theoretical X-ray powder pattern of LiCr2S4 for copper Kα, from a structure optimized by DFT (GGA-PBE).
No peak broadening, texture or thermal motion is included.

Atomic structure:
Cell lengths 6.910, 6.910, 5.597 Å; angles 110.25, 110.25, 25.78 degrees
Atoms (fractional coordinates):
Li 0.000 0.000 0.000
Cr 0.255 0.255 0.307
Cr 0.745 0.745 0.693
S 0.124 0.124 0.465
S 0.348 0.348 0.010
S 0.652 0.652 0.990
S 0.876 0.876 0.535

The 10 most intense peaks (10° ≤ 2θ ≤ 90°), in order of rising 2θ:
- 2θ = 14.07°, intensity 100
- 2θ = 35.78°, intensity 44
- 2θ = 36.01°, intensity 21
- 2θ = 43.48°, intensity 26
- 2θ = 44.74°, intensity 13
- 2θ = 44.91°, intensity 12
- 2θ = 52.85°, intensity 6
- 2θ = 56.36°, intensity 13
- 2θ = 57.86°, intensity 10
- 2θ = 60.01°, intensity 7

***

(9)
Theoretical X-ray powder pattern of EuAg2Sn for copper Kα, from a structure optimized by DFT (GGA-PBE).
No peak broadening, texture or thermal motion is included.

Atomic structure:
Cell lengths 5.084, 5.084, 5.084 Å; angles 60.00, 60.00, 60.00 degrees
Atoms (fractional coordinates):
Eu 0.000 0.000 0.000
Ag 0.250 0.250 0.250
Ag 0.750 0.750 0.750
Sn 0.500 0.500 0.500

The 8 most intense peaks (10° ≤ 2θ ≤ 90°), in order of rising 2θ:
- 2θ = 21.41°, intensity 1
- 2θ = 24.77°, intensity 1
- 2θ = 35.31°, intensity 100
- 2θ = 50.79°, intensity 17
- 2θ = 57.31°, intensity 1
- 2θ = 63.37°, intensity 36
- 2θ = 74.68°, intensity 11
- 2θ = 85.40°, intensity 16

***

(10)
Theoretical X-ray powder pattern of Sr2CuF6 for copper Kα, from a structure optimized by DFT (GGA-PBE).
No peak broadening, texture or thermal motion is included.

Atomic structure:
Cell lengths 5.813, 5.813, 16.585 Å; angles 90.00, 90.00, 90.00 degrees
Atoms (fractional coordinates):
Sr 0.000 0.000 0.161
Sr 0.000 0.000 0.839
Sr 0.000 0.500 0.338
Sr 0.000 0.500 0.662
Sr 0.500 0.000 0.338
Sr 0.500 0.000 0.662
Sr 0.500 0.500 0.161
Sr 0.500 0.500 0.839
Cu 0.000 0.000 0.500
Cu 0.000 0.500 0.000
Cu 0.500 0.000 0.000
Cu 0.500 0.500 0.500
F 0.165 0.333 0.919
F 0.167 0.335 0.081
F 0.172 0.172 0.581
F 0.172 0.828 0.419
F 0.242 0.749 0.751
F 0.249 0.742 0.249
F 0.251 0.242 0.249
F 0.258 0.249 0.751
F 0.328 0.328 0.419
F 0.328 0.672 0.581
F 0.333 0.835 0.081
F 0.335 0.833 0.919
F 0.665 0.167 0.919
F 0.667 0.165 0.081
F 0.672 0.328 0.581
F 0.672 0.672 0.419
F 0.742 0.751 0.751
F 0.749 0.758 0.249
F 0.751 0.258 0.249
F 0.758 0.251 0.751
F 0.828 0.172 0.419
F 0.828 0.828 0.581
F 0.833 0.665 0.081
F 0.835 0.667 0.919

The 10 most intense peaks (10° ≤ 2θ ≤ 90°), in order of rising 2θ:
- 2θ = 27.03°, intensity 100
- 2θ = 30.76°, intensity 16
- 2θ = 44.07°, intensity 22
- 2θ = 45.27°, intensity 41
- 2θ = 52.46°, intensity 30
- 2θ = 54.58°, intensity 13
- 2θ = 55.74°, intensity 8
- 2θ = 72.65°, intensity 11
- 2θ = 81.90°, intensity 9
- 2θ = 87.34°, intensity 7

***

(11)
Theoretical X-ray powder pattern of Te4Mo3WSe2S2 for copper Kα, from a structure optimized by DFT (GGA-PBE).
No peak broadening, texture or thermal motion is included.

Atomic structure:
Cell lengths 3.396, 3.396, 38.744 Å; angles 90.00, 90.00, 120.00 degrees
Atoms (fractional coordinates):
Te 0.000 0.000 0.000
Te 0.000 0.000 0.097
Te 0.333 0.667 0.812
Te 0.333 0.667 0.909
Mo 0.000 0.000 0.236
Mo 0.000 0.000 0.860
Mo 0.333 0.667 0.048
W 0.333 0.667 0.424
Se 0.333 0.667 0.194
Se 0.333 0.667 0.279
S 0.000 0.000 0.385
S 0.000 0.000 0.463

The 10 most intense peaks (10° ≤ 2θ ≤ 90°), in order of rising 2θ:
- 2θ = 11.42°, intensity 97
- 2θ = 13.71°, intensity 16
- 2θ = 30.41°, intensity 54
- 2θ = 30.75°, intensity 16
- 2θ = 35.72°, intensity 100
- 2θ = 43.22°, intensity 57
- 2θ = 44.98°, intensity 17
- 2θ = 54.01°, intensity 37
- 2θ = 66.44°, intensity 16
- 2θ = 76.20°, intensity 17

***

> Which formula does entry 10 have?

Sr2CuF6